For Tb2SmHo4, a structure optimized by DFT (PBE) gives the theoretical powder XRD pattern in this record (CuKα).

```
Tb2SmHo4
1.0
6.033 0.000 0.000
0.000 6.582 0.000
-2.810 0.000 11.202
Tb Sm Ho
4 2 8
Cartesian
-0.776 1.645 5.499
1.910 4.936 0.581
1.312 1.645 10.621
3.999 4.936 5.702
1.010 4.936 7.149
2.213 1.645 4.053
-1.290 0.050 8.849
-1.290 3.241 8.849
1.118 1.645 0.865
1.198 4.936 3.774
2.025 1.645 7.427
2.105 4.936 10.337
4.512 3.341 2.352
4.512 6.532 2.352
```

Most intense lines, 2θ from 10° to 90°, in order of falling intensity:
d 2.849, 2θ = 31.40°, I 100; d 2.806, 2θ = 31.89°, I 91; d 3.016, 2θ = 29.62°, I 63; d 2.837, 2θ = 31.53°, I 62; d 2.674, 2θ = 33.52°, I 59; d 2.865, 2θ = 31.22°, I 57

For TbSm4Ho3, a structure optimized by DFT (PBE) gives the theoretical powder XRD pattern in this record (CuKα).

```
TbSm4Ho3
1.0
11.443 0.000 0.000
0.000 7.298 0.000
0.000 0.000 6.302
Tb Sm Ho
2 8 6
Cartesian
0.000 0.898 0.000
5.721 6.401 3.151
0.000 2.719 3.152
0.000 4.577 6.288
2.850 4.575 2.097
2.871 2.724 5.248
5.721 2.721 3.137
5.721 4.579 0.001
8.572 2.724 5.248
8.593 4.575 2.097
0.000 6.407 3.148
2.861 0.894 2.095
2.860 6.404 5.246
5.721 0.892 6.299
8.582 0.894 2.095
8.583 6.404 5.246
```

Most intense lines, 2θ from 10° to 90°, in order of falling intensity:
d 2.763, 2θ = 32.40°, I 100; d 2.861, 2θ = 31.27°, I 24; d 3.156, 2θ = 28.28°, I 24; d 1.632, 2θ = 56.37°, I 21; d 2.119, 2θ = 42.66°, I 16; d 1.536, 2θ = 60.26°, I 15

For TbSm2Ho3, a structure optimized by DFT (PBE) gives the theoretical powder XRD pattern in this record (CuKα).

```
TbSm2Ho3
1.0
8.516 -2.787 0.000
8.516 2.787 0.000
-5.705 0.000 8.151
Tb Sm Ho
2 4 6
Cartesian
1.492 0.000 1.081
9.836 0.000 7.070
-1.057 0.000 7.133
7.550 0.000 1.157
3.778 0.000 6.994
12.385 0.000 1.018
-1.432 0.000 3.176
1.673 0.000 4.681
4.621 0.000 2.798
6.707 0.000 5.353
9.655 0.000 3.470
12.760 0.000 4.974
```

Most intense lines, 2θ from 10° to 90°, in order of falling intensity:
d 2.846, 2θ = 31.43°, I 100; d 2.787, 2θ = 32.11°, I 30; d 2.839, 2θ = 31.51°, I 19; d 1.620, 2θ = 56.82°, I 19; d 1.989, 2θ = 45.61°, I 14; d 2.887, 2θ = 30.97°, I 11

For Tb5Sm5Ho, a structure optimized by DFT (PBE) gives the theoretical powder XRD pattern in this record (CuKα).

```
Tb5Sm5Ho
1.0
6.114 0.000 0.000
-3.057 5.295 0.000
0.000 0.000 11.626
Tb Sm Ho
5 5 1
Cartesian
0.000 0.000 2.733
0.000 0.000 8.893
1.539 0.888 0.000
4.575 0.888 0.000
3.057 3.518 0.000
0.000 0.000 5.813
0.000 3.530 2.125
0.000 3.530 9.502
3.057 1.765 4.008
3.057 1.765 7.618
0.000 3.530 5.813
```

Most intense lines, 2θ from 10° to 90°, in order of falling intensity:
d 3.127, 2θ = 28.54°, I 100; d 3.057, 2θ = 29.21°, I 87; d 1.778, 2θ = 51.39°, I 39; d 2.956, 2θ = 30.23°, I 33; d 2.581, 2θ = 34.75°, I 32; d 2.548, 2θ = 35.22°, I 32